Simulated X-ray diffraction stick pattern of TbCeHo2In4 for copper Kα, from a GGA-PBE-relaxed structure.
Lines closer than 0.1° are merged.

Top 9 peaks for 2θ from 5° to 70°, by angle:
hkl, d (Å), 2θ (°), I_rel
1 0 4, 3.785, 23.5, 4.8
0 1 8, 2.682, 33.4, 100.0
1 1 0, 2.671, 33.5, 99.1
0 2 4, 2.182, 41.4, 1.1
2 0 8, 1.892, 48.1, 35.7
1 1 12, 1.695, 54.1, 1.2
2 1 4, 1.690, 54.3, 1.1
1 0 16, 1.550, 59.6, 18.5
3 0 0, 1.544, 59.9, 55.0

Cell and atoms:
Lattice parameters (Å, degrees): 5.3422 5.3422 26.3276 90.00 90.00 120.00
Space group R-3m (No. 166, hexagonal axes)
Unique sites:
Tb (0.0000, 0.0000, 0.0000) [3 per cell]
Ce (0.0000, 0.0000, 0.5000) [3 per cell]
Ho (0.0000, 0.0000, 0.2503) [6 per cell]
In (0.0000, 0.0000, 0.1238) [6 per cell]
In (0.0000, 0.0000, 0.3739) [6 per cell]


Simulated X-ray diffraction stick pattern of CeHo2Ir2 for copper Kα, from a GGA-PBE-relaxed structure.
Lines closer than 0.1° are merged.

Top 10 peaks for 2θ from 5° to 70°, by angle:
hkl, d (Å), 2θ (°), I_rel
0 1 1, 3.993, 22.3, 40.2
1 1 1, 3.193, 27.9, 42.1
0 1 3, 2.690, 33.3, 81.2
2 0 1, 2.631, 34.1, 37.4
2 0 -2, 2.559, 35.1, 40.3
1 1 -3, 2.498, 35.9, 100.0
1 1 3, 2.355, 38.2, 72.0
2 1 1, 2.249, 40.1, 44.7
2 1 -2, 2.204, 40.9, 51.0
0 2 0, 2.168, 41.7, 66.1

Cell and atoms:
Lattice parameters (Å, degrees): 5.6098 4.3361 10.3372 90.00 95.53 90.00
Space group P2_1/m (No. 11)
Unique sites:
Ce (0.1028, 0.2500, 0.2950) [2 per cell]
Ho (0.2530, 0.2500, 0.9685) [2 per cell]
Ho (0.3871, 0.2500, 0.6196) [2 per cell]
Ir (0.1618, 0.7500, 0.4710) [2 per cell]
Ir (0.2558, 0.7500, 0.1437) [2 per cell]


Simulated X-ray diffraction stick pattern of CeHo5Ir4 for copper Kα, from a GGA-PBE-relaxed structure.
Lines closer than 0.1° are merged.

Top 10 peaks for 2θ from 5° to 70°, by angle:
hkl, d (Å), 2θ (°), I_rel
4 0 -1, 4.446, 20.0, 16.6
1 1 1, 3.324, 26.8, 18.2
6 0 0, 2.771, 32.3, 47.9
3 1 -2, 2.736, 32.7, 100.0
3 1 2, 2.130, 42.4, 76.8
0 2 0, 2.077, 43.6, 26.3
7 1 0, 2.063, 43.9, 14.4
4 0 -4, 1.863, 48.9, 18.7
6 2 0, 1.662, 55.3, 23.4
10 0 -4, 1.546, 59.8, 14.4

Cell and atoms:
Lattice parameters (Å, degrees): 18.2058 4.1530 7.4529 90.00 114.08 90.00
Space group C2/m (No. 12)
Unique sites:
Ce (0.0000, 0.0000, 0.0000) [2 per cell]
Ho (0.0000, 0.0000, 0.5000) [2 per cell]
Ho (0.1661, 0.5000, 0.4097) [4 per cell]
Ho (0.1661, 0.5000, 0.9233) [4 per cell]
Ir (0.9999, 0.5000, 0.2501) [4 per cell]
Ir (0.2009, 0.0000, 0.2012) [4 per cell]


Simulated X-ray diffraction stick pattern of KCe2Ho2O7 for copper Kα, from a GGA-PBE-relaxed structure.
Lines closer than 0.1° are merged.

Top 10 peaks for 2θ from 5° to 70°, by angle:
hkl, d (Å), 2θ (°), I_rel
0 2 0, 9.838, 9.0, 100.0
0 1 1, 4.461, 19.9, 38.3
0 3 1, 3.755, 23.7, 20.5
1 2 1, 3.077, 29.0, 67.7
1 5 0, 2.985, 29.9, 28.0
1 4 1, 2.705, 33.1, 54.0
0 8 0, 2.460, 36.5, 25.7
2 0 0, 2.290, 39.3, 51.8
1 10 1, 1.682, 54.6, 25.6
2 8 0, 1.676, 54.8, 30.4

Cell and atoms:
Lattice parameters (Å, degrees): 4.5806 19.6763 4.5806 90.00 90.00 90.00
Space group Imm2 (No. 44)
Unique sites:
K (0.0000, 0.0000, 0.0000) [2 per cell]
Ce (0.0000, 0.3887, 0.0054) [4 per cell]
Ho (0.0000, 0.2498, 0.5056) [4 per cell]
O (0.0000, 0.1356, 0.5060) [4 per cell]
O (0.0000, 0.2627, 0.0056) [4 per cell]
O (0.0000, 0.3640, 0.5057) [4 per cell]
O (0.0000, 0.5000, 0.0089) [2 per cell]


Simulated X-ray diffraction stick pattern of La6CeHo2 for copper Kα, from a GGA-PBE-relaxed structure.
Lines closer than 0.1° are merged.

Top 10 peaks for 2θ from 5° to 70°, by angle:
hkl, d (Å), 2θ (°), I_rel
1 0 0, 3.157, 28.3, 44.3
0 0 9, 3.057, 29.2, 46.6
1 0 3, 2.985, 29.9, 13.0
1 0 4, 2.869, 31.2, 57.7
1 0 5, 2.738, 32.7, 100.0
1 0 9, 2.196, 41.1, 28.0
1 1 0, 1.823, 50.0, 36.0
1 0 14, 1.668, 55.0, 31.4
1 1 9, 1.565, 59.0, 38.3
2 0 5, 1.517, 61.1, 18.0

Cell and atoms:
Lattice parameters (Å, degrees): 3.6453 3.6453 27.5090 90.00 90.00 120.00
Space group P-6m2 (No. 187)
Unique sites:
La (0.0000, 0.0000, 0.0670) [2 per cell]
La (0.0000, 0.0000, 0.2778) [2 per cell]
La (0.3333, 0.6667, 0.3955) [2 per cell]
Ce (0.0000, 0.0000, 0.5000) [1 per cell]
Ho (0.3333, 0.6667, 0.1714) [2 per cell]


Simulated X-ray diffraction stick pattern of La2CeHo4 for copper Kα, from a GGA-PBE-relaxed structure.
Lines closer than 0.1° are merged.

Top 10 peaks for 2θ from 5° to 70°, by angle:
hkl, d (Å), 2θ (°), I_rel
1 1 0, 3.115, 28.7, 31.5
0 0 7, 2.907, 30.8, 56.1
2 0 -4, 2.777, 32.2, 98.9
2 0 3, 2.719, 32.9, 100.0
0 2 0, 1.801, 50.7, 43.0
2 0 -11, 1.665, 55.2, 19.1
2 0 10, 1.627, 56.6, 21.7
3 1 6, 1.531, 60.5, 49.2
2 2 -4, 1.511, 61.4, 15.6
2 2 3, 1.501, 61.8, 16.4

Cell and atoms:
Lattice parameters (Å, degrees): 6.2431 3.5985 20.4512 90.00 95.81 90.00
Space group Cm (No. 8)
Unique sites:
La (0.0000, 0.0000, 0.0000) [2 per cell]
La (0.0912, 0.0000, 0.2900) [2 per cell]
Ce (0.1821, 0.0000, 0.5742) [2 per cell]
Ho (0.2786, 0.0000, 0.8512) [2 per cell]
Ho (0.3078, 0.5000, 0.4345) [2 per cell]
Ho (0.3775, 0.0000, 0.1470) [2 per cell]
Ho (0.4003, 0.5000, 0.7148) [2 per cell]